The following is a theoretical PXRD pattern of SrCa7Ti3Mn5O22. It was derived from a PBE+U-relaxed structure, using a wavelength of 1.5418 Å.
Neutral-atom scattering factors, no anomalous dispersion.

Peak list (10 most intense, 2θ = 10–80°, most intense first)
d (Å), two_theta, Rel. int., index
2.739, 32.70, 100, 0 2 -2
2.806, 31.90, 54, 0 2 2
2.724, 32.88, 51, 2 -2 0
2.733, 32.77, 51, 2 2 0
2.764, 32.39, 49, 2 0 2
1.977, 45.91, 40, 0 0 4
1.914, 47.51, 39, 4 0 0
1.945, 46.69, 28, 0 4 0
1.573, 58.68, 21, 4 -2 2
1.606, 57.38, 18, -2 2 4

```
data_SrCa7Ti3Mn5O22
_chemical_formula_sum 'Sr1 Ca7 Ti3 Mn5 O22'
_cell_length_a 7.6559
_cell_length_b 7.7833
_cell_length_c 7.9088
_cell_angle_alpha 88.66
_cell_angle_beta 89.41
_cell_angle_gamma 89.80
_space_group_name_H-M_alt 'P 1'
_space_group_IT_number 1
loop_
_space_group_symop_operation_xyz
'x,y,z'
loop_
_atom_site_label
_atom_site_fract_x
_atom_site_fract_y
_atom_site_fract_z
_atom_site_occupancy
Sr1 0.0000 0.0000 0.0000 1
Ca1 0.0113 0.9399 0.4995 1
Ca2 0.4941 0.4521 0.9412 1
Ca3 0.5155 0.5058 0.4703 1
Ca4 0.5226 0.9857 0.4542 1
Ca5 0.5240 0.9710 0.9815 1
Ca6 0.9694 0.4650 0.9674 1
Ca7 0.9893 0.4379 0.5065 1
Ti1 0.2493 0.6860 0.2199 1
Ti2 0.2584 0.2435 0.2475 1
Ti3 0.2623 0.7122 0.7245 1
Mn1 0.2660 0.1928 0.7280 1
Mn2 0.7520 0.2221 0.7267 1
Mn3 0.7536 0.7059 0.7335 1
Mn4 0.7580 0.2413 0.2396 1
Mn5 0.7622 0.7424 0.2338 1
O1 0.0031 0.6718 0.6962 1
O2 0.0080 0.2427 0.1979 1
O3 0.0095 0.2417 0.7594 1
O4 0.0465 0.8084 0.2494 1
O5 0.2129 0.9451 0.7679 1
O6 0.2262 0.6219 0.9967 1
O7 0.2342 0.4708 0.3240 1
O8 0.2398 0.1175 0.4440 1
O9 0.3022 0.7441 0.5006 1
O10 0.3034 0.1756 0.0248 1
O11 0.3096 0.4364 0.7017 1
O12 0.4767 0.7576 0.2053 1
O13 0.5079 0.7310 0.7884 1
O14 0.5125 0.2670 0.2832 1
O15 0.5200 0.1317 0.7147 1
O16 0.7148 0.4610 0.6987 1
O17 0.7249 0.2436 0.9685 1
O18 0.7293 0.7688 0.4977 1
O19 0.7290 0.9886 0.2073 1
O20 0.7846 0.4967 0.2736 1
O21 0.7976 0.7282 0.9718 1
O22 0.8019 0.1728 0.4987 1
```